For La3Dy12Tm, a crystal structure in Alexandria, relaxed with GGA-PBE gives the calculated PXRD pattern in this record (Cu Kα (weighted mean of Kα1 and Kα2)).
Lines closer than 0.1° are merged.

Principal peaks in the range 5 to 70 degrees two-theta, sorted by position:
| 2θ/deg | d (Å) | I_rel | h k l |
| --- | --- | --- | --- |
| 30.6 | 2.923 | 100 | 1 1 4 |
| 35.5 | 2.532 | 51 | 2 0 0 |
| 51.0 | 1.790 | 36 | 2 2 0 |
| 60.7 | 1.527 | 43 | 3 1 4 |
| 63.7 | 1.462 | 12 | 2 2 8 |

Atomic structure:
Cell lengths 5.0623, 5.0623, 20.2648 Å; angles 90.00, 90.00, 90.00 degrees
Space group P4/mmm (No. 123)
Unique sites:
La 0.0000 0.0000 0.0000 (multiplicity 1)
La 0.0000 0.0000 0.2508 (multiplicity 2)
Dy 0.0000 0.5000 0.1261 (multiplicity 4)
Dy 0.0000 0.5000 0.3786 (multiplicity 4)
Dy 0.5000 0.5000 0.0000 (multiplicity 1)
Dy 0.5000 0.5000 0.2528 (multiplicity 2)
Dy 0.5000 0.5000 0.5000 (multiplicity 1)
Tm 0.0000 0.0000 0.5000 (multiplicity 1)

For LaDy5Tm3, a crystal structure in Alexandria, relaxed with GGA-PBE gives the calculated PXRD pattern in this record (Cu Kα (weighted mean of Kα1 and Kα2)).
Lines closer than 0.1° are merged.

Principal peaks in the range 5 to 70 degrees two-theta, sorted by position:
| 2θ/deg | d (Å) | I_rel | h k l |
| --- | --- | --- | --- |
| 28.7 | 3.107 | 33 | 1 1 -3 |
| 28.8 | 3.099 | 25 | 3 1 -3 |
| 29.6 | 3.020 | 38 | 0 2 0 |
| 30.4 | 2.944 | 100 | 6 0 0 |
| 30.9 | 2.895 | 18 | 0 2 1 |
| 31.3 | 2.857 | 37 | 2 2 0 |
| 32.1 | 2.785 | 81 | 1 1 3 |
| 32.3 | 2.772 | 79 | 5 1 -3 |
| 38.2 | 2.358 | 17 | 3 1 3 |
| 42.9 | 2.108 | 26 | 6 2 0 |
| 55.0 | 1.670 | 17 | 7 1 3 |
| 58.6 | 1.576 | 25 | 4 2 -6 |

Atomic structure:
Cell lengths 19.1023, 6.0396, 11.0833 Å; angles 90.00, 112.37, 90.00 degrees
Space group C2/c (No. 15)
Unique sites:
La 0.0000 0.1518 0.2500 (multiplicity 4)
Dy 0.0000 0.3683 0.7500 (multiplicity 4)
Dy 0.1653 0.2563 0.6967 (multiplicity 8)
Dy 0.1683 0.2671 0.0288 (multiplicity 8)
Tm 0.0000 0.0000 0.0000 (multiplicity 4)
Tm 0.1764 0.2255 0.3658 (multiplicity 8)

For La2DyTm6, a crystal structure in Alexandria, relaxed with GGA-PBE gives the calculated PXRD pattern in this record (Cu Kα (weighted mean of Kα1 and Kα2)).
Lines closer than 0.1° are merged.

Principal peaks in the range 5 to 70 degrees two-theta, sorted by position:
| 2θ/deg | d (Å) | I_rel | h k l |
| --- | --- | --- | --- |
| 29.2 | 3.056 | 16 | 1 3 1 |
| 30.5 | 2.927 | 28 | 0 4 0 |
| 30.8 | 2.906 | 100 | 3 1 -3 |
| 31.7 | 2.826 | 75 | 4 2 -1 |
| 32.1 | 2.791 | 11 | 3 3 -2 |
| 32.9 | 2.719 | 24 | 0 4 1 |
| 37.8 | 2.378 | 41 | 1 3 2 |
| 50.9 | 1.795 | 20 | 7 1 -4 |
| 56.6 | 1.627 | 20 | 2 2 -5 |
| 58.3 | 1.584 | 9 | 1 7 1 |
| 61.9 | 1.500 | 13 | 6 0 -6 |
| 64.2 | 1.452 | 9 | 2 6 -4 |

Atomic structure:
Cell lengths 13.3482, 11.7085, 9.0637 Å; angles 90.00, 125.58, 90.00 degrees
Space group C2/c (No. 15)
Unique sites:
La 0.1914 0.0915 0.4361 (multiplicity 8)
Dy 0.0000 0.3298 0.2500 (multiplicity 4)
Tm 0.0362 0.1319 0.9605 (multiplicity 8)
Tm 0.0959 0.4078 0.6835 (multiplicity 8)
Tm 0.2276 0.3362 0.1393 (multiplicity 8)